Calculated XRD peak list
Compound: ZrF4
Radiation: Cu Kα (weighted mean of Kα1 and Kα2)
Structure: a cell relaxed with GGA-PBE
Intensities are scaled so that the largest is 100.

Largest 6 diffraction maxima, by angle, 15 to 90 degrees two-theta:
Position (°2θ), d/Å, Rel. int., hkl
22.8, 3.902, 79, 2 0 0
23.3, 3.823, 82, 0 0 2
25.5, 3.490, 100, 2 1 0
34.8, 2.577, 56, 1 2 2
48.1, 1.893, 60, 1 4 0
54.1, 1.696, 56, 4 1 2

Cell: 7.804 7.804 7.646 Å, 90.00 90.00 90.00°
Space group P4_2/m (No. 84)
Symmetry-distinct sites (fractional):
Zr (0.182, 0.684, 0.230)
F (0.000, 0.500, 0.305)
F (0.059, 0.209, 0.184)
F (0.162, 0.211, 0.500)
F (0.167, 0.533, 0.000)
F (0.204, 0.682, 0.500)
F (0.301, 0.441, 0.299)

***

Calculated XRD peak list
Compound: Pt2O
Radiation: Cu Kα (weighted mean of Kα1 and Kα2)
Structure: a cell relaxed with GGA-PBE
Intensities are scaled so that the largest is 100.

Largest 6 diffraction maxima, by angle, 15 to 90 degrees two-theta:
Position (°2θ), d/Å, Rel. int., hkl
17.1, 5.187, 100, 1 1 1
33.1, 2.709, 46, 3 1 1
34.6, 2.593, 63, 2 2 2
40.1, 2.246, 29, 4 0 0
43.9, 2.061, 27, 3 3 1
69.4, 1.354, 26, 6 2 2

Cell: 8.984 8.984 8.984 Å, 90.00 90.00 90.00°
Space group Fd-3m (No. 227, origin choice 2)
Symmetry-distinct sites (fractional):
Pt (0.000, 0.000, 0.000)
O (0.125, 0.125, 0.125)

***

Calculated XRD peak list
Compound: Cu4Ag
Radiation: Cu Kα (weighted mean of Kα1 and Kα2)
Structure: a cell relaxed with GGA-PBE
Intensities are scaled so that the largest is 100.

Largest 6 diffraction maxima, by angle, 15 to 90 degrees two-theta:
Position (°2θ), d/Å, Rel. int., hkl
41.6, 2.170, 100, 1 1 -2
41.9, 2.155, 49, 6 0 -2
42.2, 2.140, 48, 4 0 2
48.3, 1.885, 64, 5 1 0
49.6, 1.839, 28, 2 0 -4
71.9, 1.313, 17, 3 1 4

Cell: 13.753 2.687 7.356 Å, 90.00 105.94 90.00°
Space group C2/m (No. 12)
Symmetry-distinct sites (fractional):
Cu (0.000, 0.000, 0.000)
Cu (0.000, 0.000, 0.500)
Cu (0.101, 0.500, 0.302)
Cu (0.199, 0.000, 0.117)
Cu (0.202, 0.000, 0.589)
Ag (0.103, 0.500, 0.803)

***

Calculated XRD peak list
Compound: BaPr
Radiation: Cu Kα (weighted mean of Kα1 and Kα2)
Structure: a cell relaxed with GGA-PBE
Intensities are scaled so that the largest is 100.

Largest 6 diffraction maxima, by angle, 15 to 90 degrees two-theta:
Position (°2θ), d/Å, Rel. int., hkl
25.9, 3.441, 23, 1 0 0
27.0, 3.300, 27, 0 0 2
29.3, 3.051, 100, 1 0 1
45.7, 1.987, 20, 1 1 0
49.2, 1.854, 24, 1 0 3
53.9, 1.702, 24, 1 1 2

Cell: 3.9732 3.9732 6.6000 Å, 90.00 90.00 120.00°
Space group P-6m2 (No. 187)
Symmetry-distinct sites (fractional):
Ba (0.0000, 0.0000, 0.0000)
Pr (0.6667, 0.3333, 0.5000)

***

Calculated XRD peak list
Compound: DyY6Ni2Te2
Radiation: Cu Kα (weighted mean of Kα1 and Kα2)
Structure: a cell relaxed with GGA-PBE
Intensities are scaled so that the largest is 100.

Largest 6 diffraction maxima, by angle, 15 to 90 degrees two-theta:
Position (°2θ), d/Å, Rel. int., hkl
30.2, 2.961, 49, 1 1 2
32.7, 2.735, 65, 0 3 3
33.8, 2.648, 100, 1 4 1
34.3, 2.613, 58, 0 6 0
47.0, 1.934, 27, 2 0 0
58.4, 1.579, 29, 2 3 3

Cell: 3.869 15.694 9.625 Å, 90.00 90.00 90.00°
Space group Imm2 (No. 44)
Symmetry-distinct sites (fractional):
Dy (0.000, 0.000, 0.000)
Y (0.000, 0.131, 0.418)
Y (0.000, 0.316, 0.619)
Y (0.000, 0.354, 0.268)
Ni (0.000, 0.238, 0.928)
Te (0.000, 0.000, 0.664)
Te (0.000, 0.500, 0.764)

***

Calculated XRD peak list
Compound: PrB4Ir4
Radiation: Cu Kα (weighted mean of Kα1 and Kα2)
Structure: a cell relaxed with GGA-PBE
Intensities are scaled so that the largest is 100.

Largest 6 diffraction maxima, by angle, 15 to 90 degrees two-theta:
Position (°2θ), d/Å, Rel. int., hkl
16.3, 5.453, 21, 1 1 0
27.7, 3.219, 21, 1 1 1
34.4, 2.609, 100, 1 2 1
36.9, 2.439, 61, 3 1 0
40.1, 2.251, 25, 2 2 1
47.1, 1.930, 32, 1 0 2

Cell: 7.712 7.712 3.988 Å, 90.00 90.00 90.00°
Space group P4_2/n (No. 86, origin choice 2)
Symmetry-distinct sites (fractional):
Pr (0.250, 0.250, 0.250)
B (0.029, 0.592, 0.142)
Ir (0.091, 0.859, 0.141)